Entry 1:
Theoretical powder X-ray diffraction pattern
Compound: Nd2MgSe4
Radiation: copper Kα
Structure: DFT lattice parameters and positions (GGA-PBE)

Most intense lines, 5 to 70 degrees two-theta, sorted by position:
d (Å)  two_theta  intensity
6.932  12.77  51.3
3.620  24.59  49.2
3.002  29.77  100.0
2.311  38.98  22.5
2.122  42.60  88.1
1.733  52.83  26.2

Atomic structure:
Cell lengths 8.490, 8.490, 8.490 Å; angles 60.00, 60.00, 60.00 degrees
Sites, in units of the cell vectors:
Nd 0.000 0.000 0.000
Nd 0.000 0.000 0.500
Nd 0.000 0.500 0.000
Nd 0.500 0.000 0.000
Mg 0.375 0.375 0.375
Mg 0.625 0.625 0.625
Se 0.242 0.753 0.753
Se 0.247 0.247 0.247
Se 0.247 0.247 0.758
Se 0.247 0.758 0.247
Se 0.753 0.242 0.753
Se 0.753 0.753 0.242
Se 0.753 0.753 0.753
Se 0.758 0.247 0.247



Entry 2:
Theoretical powder X-ray diffraction pattern
Compound: Ag3Sn
Radiation: copper Kα
Structure: DFT lattice parameters and positions (GGA-PBE)

Most intense lines, 5 to 70 degrees two-theta, sorted by position:
d (Å)  two_theta  intensity
2.694  33.25  24.8
2.420  37.16  23.4
2.354  38.23  100.0
1.800  50.71  14.1
1.555  59.42  17.8
1.384  67.70  16.8

Atomic structure:
Cell lengths 3.111, 3.111, 9.679 Å; angles 90.00, 90.00, 120.00 degrees
Sites, in units of the cell vectors:
Ag 0.000 0.000 0.000
Ag 0.667 0.333 0.239
Ag 0.667 0.333 0.761
Sn 0.000 0.000 0.500



Which formula does entry 2 have? Ag3Sn



Please write out number 2 again, unchanged.
Theoretical powder X-ray diffraction pattern
Compound: Ag3Sn
Radiation: copper Kα
Structure: DFT lattice parameters and positions (GGA-PBE)

Most intense lines, 5 to 70 degrees two-theta, sorted by position:
d (Å)  two_theta  intensity
2.694  33.25  24.8
2.420  37.16  23.4
2.354  38.23  100.0
1.800  50.71  14.1
1.555  59.42  17.8
1.384  67.70  16.8

Atomic structure:
Cell lengths 3.111, 3.111, 9.679 Å; angles 90.00, 90.00, 120.00 degrees
Sites, in units of the cell vectors:
Ag 0.000 0.000 0.000
Ag 0.667 0.333 0.239
Ag 0.667 0.333 0.761
Sn 0.000 0.000 0.500